Calculated powder X-ray diffraction pattern
Compound: Pm2Pr3Tm4
Radiation: Cu Kα (weighted mean of Kα1 and Kα2)
Structure: a DFT-relaxed cell (GGA-PBE, Alexandria)
Intensities are scaled so that the largest is 1000.

Lattice parameters (Å, degrees): 10.1094 10.1094 6.1677 96.13 96.13 71.42
Atoms (fractional coordinates):
Pm  0.0177  0.7564  0.7124
Pm  0.2436  0.9823  0.7876
Pm  0.7564  0.0177  0.2124
Pm  0.9823  0.2436  0.2876
Pr  0.1289  0.8711  0.2500
Pr  0.1945  0.4817  0.4071
Pr  0.4817  0.1945  0.9071
Pr  0.5183  0.8055  0.0929
Pr  0.8055  0.5183  0.5929
Pr  0.8711  0.1289  0.7500
Tm  0.1147  0.3474  0.8612
Tm  0.3277  0.5578  0.9597
Tm  0.3474  0.1147  0.3612
Tm  0.4422  0.6723  0.5403
Tm  0.5578  0.3277  0.4597
Tm  0.6526  0.8853  0.6388
Tm  0.6723  0.4422  0.0403
Tm  0.8853  0.6526  0.1388

The 12 most intense peaks (2θ from 5° to 70°), low angle first:
2θ = 29.99°, d = 2.979 Å, I 521; 2θ = 30.31°, d = 2.949 Å, I 1000; 2θ = 31.82°, d = 2.812 Å, I 894; 2θ = 37.08°, d = 2.425 Å, I 297; 2θ = 37.35°, d = 2.407 Å, I 270; 2θ = 48.60°, d = 1.873 Å, I 119; 2θ = 48.82°, d = 1.865 Å, I 127; 2θ = 50.46°, d = 1.809 Å, I 123; 2θ = 51.10°, d = 1.787 Å, I 112; 2θ = 54.79°, d = 1.676 Å, I 169; 2θ = 54.92°, d = 1.672 Å, I 177; 2θ = 63.02°, d = 1.475 Å, I 100